1.
SrZnBiH: theoretical powder X-ray diffraction pattern (CuKα), based on a structure optimized by DFT (GGA-PBE).
No peak broadening, texture or thermal motion is included.

Atomic structure:
Cell lengths 4.5655, 4.5655, 5.0986 Å; angles 90.00, 90.00, 120.00 degrees
Element x y z (fractional)
Sr (0.0000, 0.0000, 0.0000)
Zn (0.3333, 0.6667, 0.3870)
Bi (0.6667, 0.3333, 0.5462)
H (0.3333, 0.6667, 0.0513)

Most intense lines, 10° ≤ 2θ ≤ 80°, low angle first:
| d/Å | I_rel |
| --- | --- |
| 5.099 | 20 |
| 3.954 | 20 |
| 3.124 | 100 |
| 2.283 | 41 |
| 2.143 | 23 |
| 1.843 | 22 |
| 1.701 | 19 |
| 1.562 | 23 |
| 1.434 | 20 |
| 1.289 | 17 |


2.
La3Al3Rh2: theoretical powder X-ray diffraction pattern (CuKα), based on a structure optimized by DFT (GGA-PBE).
No peak broadening, texture or thermal motion is included.

Atomic structure:
Cell lengths 8.1945, 15.5969, 5.8398 Å; angles 90.00, 90.00, 90.00 degrees
Element x y z (fractional)
La (0.0270, 0.1084, 0.0885)
La (0.0270, 0.3916, 0.0885)
La (0.1655, 0.2500, 0.5846)
La (0.3345, 0.7500, 0.0846)
La (0.4730, 0.6084, 0.5885)
La (0.4730, 0.8916, 0.5885)
La (0.5270, 0.1084, 0.4115)
La (0.5270, 0.3916, 0.4115)
La (0.6655, 0.2500, 0.9154)
La (0.8345, 0.7500, 0.4154)
La (0.9730, 0.6084, 0.9115)
La (0.9730, 0.8916, 0.9115)
Al (0.1539, 0.0354, 0.5841)
Al (0.1539, 0.4646, 0.5841)
Al (0.1839, 0.7500, 0.5740)
Al (0.3161, 0.2500, 0.0740)
Al (0.3461, 0.5354, 0.0841)
Al (0.3461, 0.9646, 0.0841)
Al (0.6539, 0.0354, 0.9159)
Al (0.6539, 0.4646, 0.9159)
Al (0.6839, 0.7500, 0.9260)
Al (0.8161, 0.2500, 0.4260)
Al (0.8461, 0.5354, 0.4159)
Al (0.8461, 0.9646, 0.4159)
Rh (0.1354, 0.6027, 0.3561)
Rh (0.1354, 0.8973, 0.3561)
Rh (0.3646, 0.1027, 0.8561)
Rh (0.3646, 0.3973, 0.8561)
Rh (0.6354, 0.6027, 0.1439)
Rh (0.6354, 0.8973, 0.1439)
Rh (0.8646, 0.1027, 0.6439)
Rh (0.8646, 0.3973, 0.6439)

Most intense lines, 10° ≤ 2θ ≤ 80°, low angle first:
| d/Å | I_rel |
| --- | --- |
| 3.899 | 36 |
| 3.509 | 68 |
| 3.015 | 69 |
| 2.823 | 73 |
| 2.709 | 88 |
| 2.598 | 65 |
| 2.543 | 63 |
| 2.474 | 100 |
| 2.431 | 72 |
| 1.731 | 44 |


3.
U2Al8Co: theoretical powder X-ray diffraction pattern (CuKα), based on a structure optimized by DFT (GGA-PBE).
No peak broadening, texture or thermal motion is included.

Atomic structure:
Cell lengths 4.2231, 4.2231, 11.0861 Å; angles 90.00, 90.00, 90.00 degrees
Element x y z (fractional)
U (0.0000, 0.0000, 0.1921)
U (0.0000, 0.0000, 0.8079)
Al (0.0000, 0.5000, 0.0000)
Al (0.0000, 0.5000, 0.3819)
Al (0.0000, 0.5000, 0.6181)
Al (0.5000, 0.0000, 0.0000)
Al (0.5000, 0.0000, 0.3819)
Al (0.5000, 0.0000, 0.6181)
Al (0.5000, 0.5000, 0.1942)
Al (0.5000, 0.5000, 0.8058)
Co (0.0000, 0.0000, 0.5000)

Most intense lines, 10° ≤ 2θ ≤ 80°, low angle first:
| d/Å | I_rel |
| --- | --- |
| 5.543 | 27 |
| 4.223 | 100 |
| 3.359 | 29 |
| 2.986 | 33 |
| 2.781 | 59 |
| 2.629 | 42 |
| 2.322 | 83 |
| 2.112 | 41 |
| 1.682 | 27 |
| 1.256 | 34 |


4.
Sm3AlCoS7: theoretical powder X-ray diffraction pattern (CuKα), based on a structure optimized by DFT (GGA-PBE).
No peak broadening, texture or thermal motion is included.

Atomic structure:
Cell lengths 9.7040, 9.7040, 6.2028 Å; angles 90.00, 90.00, 120.00 degrees
Element x y z (fractional)
Sm (0.1568, 0.7824, 0.0000)
Sm (0.2176, 0.3744, 0.0000)
Sm (0.3744, 0.1568, 0.5000)
Sm (0.6256, 0.8432, 0.0000)
Sm (0.7824, 0.6256, 0.5000)
Sm (0.8432, 0.2176, 0.5000)
Al (0.3333, 0.6667, 0.5763)
Al (0.6667, 0.3333, 0.0763)
Co (0.0000, 0.0000, 0.1602)
Co (0.0000, 0.0000, 0.6602)
S (0.0898, 0.5225, 0.7228)
S (0.0940, 0.8750, 0.4061)
S (0.1250, 0.2190, 0.4061)
S (0.2190, 0.0940, 0.9061)
S (0.3333, 0.6667, 0.2161)
S (0.4327, 0.9102, 0.7228)
S (0.4775, 0.5673, 0.7228)
S (0.5225, 0.4327, 0.2228)
S (0.5673, 0.0898, 0.2228)
S (0.6667, 0.3333, 0.7161)
S (0.7810, 0.9060, 0.4061)
S (0.8750, 0.7810, 0.9061)
S (0.9060, 0.1250, 0.9061)
S (0.9102, 0.4775, 0.2228)

Most intense lines, 10° ≤ 2θ ≤ 80°, low angle first:
| d/Å | I_rel |
| --- | --- |
| 4.991 | 43 |
| 3.479 | 100 |
| 3.176 | 27 |
| 2.553 | 35 |
| 2.495 | 36 |
| 2.426 | 37 |
| 2.219 | 30 |
| 2.182 | 22 |
| 1.855 | 25 |
| 1.759 | 18 |


5.
InAg3: theoretical powder X-ray diffraction pattern (CuKα), based on a structure optimized by DFT (GGA-PBE).
No peak broadening, texture or thermal motion is included.

Atomic structure:
Cell lengths 4.1802, 4.1802, 17.3582 Å; angles 90.00, 90.00, 90.00 degrees
Element x y z (fractional)
In (0.0000, 0.0000, 0.1260)
In (0.0000, 0.0000, 0.8740)
In (0.5000, 0.5000, 0.3740)
In (0.5000, 0.5000, 0.6260)
Ag (0.0000, 0.0000, 0.3760)
Ag (0.0000, 0.0000, 0.6240)
Ag (0.0000, 0.5000, 0.0000)
Ag (0.0000, 0.5000, 0.2500)
Ag (0.0000, 0.5000, 0.5000)
Ag (0.0000, 0.5000, 0.7500)
Ag (0.5000, 0.0000, 0.0000)
Ag (0.5000, 0.0000, 0.2500)
Ag (0.5000, 0.0000, 0.5000)
Ag (0.5000, 0.0000, 0.7500)
Ag (0.5000, 0.5000, 0.1240)
Ag (0.5000, 0.5000, 0.8760)

Most intense lines, 10° ≤ 2θ ≤ 80°, low angle first:
| d/Å | I_rel |
| --- | --- |
| 2.443 | 100 |
| 2.170 | 17 |
| 2.090 | 31 |
| 1.505 | 21 |
| 1.478 | 10 |
| 1.299 | 12 |
| 1.265 | 23 |
| 1.221 | 10 |


6.
TiHSI: theoretical powder X-ray diffraction pattern (CuKα), based on a structure optimized by DFT (GGA-PBE).
No peak broadening, texture or thermal motion is included.

Atomic structure:
Cell lengths 3.4732, 3.4732, 20.9648 Å; angles 90.00, 90.00, 120.00 degrees
Element x y z (fractional)
Ti (0.0000, 0.0000, 0.0000)
Ti (0.3333, 0.6667, 0.6667)
Ti (0.6667, 0.3333, 0.3333)
H (0.0000, 0.0000, 0.3396)
H (0.3333, 0.6667, 0.0063)
H (0.6667, 0.3333, 0.6730)
S (0.0000, 0.0000, 0.5966)
S (0.3333, 0.6667, 0.2632)
S (0.6667, 0.3333, 0.9299)
I (0.0000, 0.0000, 0.7649)
I (0.3333, 0.6667, 0.4316)
I (0.6667, 0.3333, 0.0983)

Most intense lines, 10° ≤ 2θ ≤ 80°, low angle first:
| d/Å | I_rel |
| --- | --- |
| 6.988 | 97 |
| 3.494 | 34 |
| 2.977 | 100 |
| 2.609 | 78 |
| 2.444 | 87 |
| 2.122 | 30 |
| 1.976 | 33 |
| 1.737 | 39 |
| 1.555 | 19 |
| 1.232 | 20 |


7.
HgB4Rh8: theoretical powder X-ray diffraction pattern (CuKα), based on a structure optimized by DFT (GGA-PBE).
No peak broadening, texture or thermal motion is included.

Atomic structure:
Cell lengths 7.5789, 7.5789, 7.5789 Å; angles 92.32, 92.32, 156.81 degrees
Element x y z (fractional)
Hg (0.0000, 0.0000, 0.0000)
B (0.1572, 0.6767, 0.8339)
B (0.3233, 0.1572, 0.4805)
B (0.6767, 0.8428, 0.5195)
B (0.8428, 0.3233, 0.1661)
Rh (0.0395, 0.3344, 0.3739)
Rh (0.3197, 0.3565, 0.6762)
Rh (0.3344, 0.9605, 0.2949)
Rh (0.3565, 0.6803, 0.0367)
Rh (0.6435, 0.3197, 0.9633)
Rh (0.6656, 0.0395, 0.7051)
Rh (0.6803, 0.6435, 0.3238)
Rh (0.9605, 0.6656, 0.6261)

Most intense lines, 10° ≤ 2θ ≤ 80°, low angle first:
| d/Å | I_rel |
| --- | --- |
| 2.556 | 12 |
| 2.475 | 48 |
| 2.348 | 19 |
| 2.298 | 100 |
| 2.059 | 9 |
| 1.750 | 14 |
| 1.444 | 15 |
| 1.392 | 20 |
| 1.304 | 9 |
| 1.297 | 12 |


8.
La4TbSm4: theoretical powder X-ray diffraction pattern (CuKα), based on a structure optimized by DFT (GGA-PBE).
No peak broadening, texture or thermal motion is included.

Atomic structure:
Cell lengths 8.1968, 8.1968, 8.1968 Å; angles 95.81, 95.81, 142.90 degrees
Element x y z (fractional)
La (0.1666, 0.1666, 0.3331)
La (0.1666, 0.8334, 0.0000)
La (0.8334, 0.1666, 0.0000)
La (0.8334, 0.8334, 0.6669)
Tb (0.5000, 0.5000, 0.0000)
Sm (0.1655, 0.5000, 0.6655)
Sm (0.5000, 0.1655, 0.6655)
Sm (0.5000, 0.8345, 0.3345)
Sm (0.8345, 0.5000, 0.3345)

Most intense lines, 10° ≤ 2θ ≤ 80°, low angle first:
| d/Å | I_rel |
| --- | --- |
| 2.998 | 100 |
| 2.608 | 17 |
| 2.590 | 34 |
| 1.838 | 24 |
| 1.832 | 12 |
| 1.571 | 15 |
| 1.563 | 29 |
| 1.499 | 12 |
| 1.304 | 2 |
| 1.295 | 4 |


Copy entry 7 word for word.
HgB4Rh8: theoretical powder X-ray diffraction pattern (CuKα), based on a structure optimized by DFT (GGA-PBE).
No peak broadening, texture or thermal motion is included.

Atomic structure:
Cell lengths 7.5789, 7.5789, 7.5789 Å; angles 92.32, 92.32, 156.81 degrees
Element x y z (fractional)
Hg (0.0000, 0.0000, 0.0000)
B (0.1572, 0.6767, 0.8339)
B (0.3233, 0.1572, 0.4805)
B (0.6767, 0.8428, 0.5195)
B (0.8428, 0.3233, 0.1661)
Rh (0.0395, 0.3344, 0.3739)
Rh (0.3197, 0.3565, 0.6762)
Rh (0.3344, 0.9605, 0.2949)
Rh (0.3565, 0.6803, 0.0367)
Rh (0.6435, 0.3197, 0.9633)
Rh (0.6656, 0.0395, 0.7051)
Rh (0.6803, 0.6435, 0.3238)
Rh (0.9605, 0.6656, 0.6261)

Most intense lines, 10° ≤ 2θ ≤ 80°, low angle first:
| d/Å | I_rel |
| --- | --- |
| 2.556 | 12 |
| 2.475 | 48 |
| 2.348 | 19 |
| 2.298 | 100 |
| 2.059 | 9 |
| 1.750 | 14 |
| 1.444 | 15 |
| 1.392 | 20 |
| 1.304 | 9 |
| 1.297 | 12 |


Number 2 is which compound? La3Al3Rh2